For SrB2Cl8, a structure optimized by DFT (GGA-PBE) gives the calculated X-ray powder pattern in this record (Cu Kα (λ = 1.5418 Å)).

Atomic structure:
Cell: 10.0056 10.0056 9.7208 Å, 117.56 117.56 56.78°
Positions (direct):
Sr1 0.0321 0.9679 0.7500
Sr2 0.9679 0.0321 0.2500
B1 0.1420 0.6541 0.9305
B2 0.3459 0.8580 0.5695
B3 0.6541 0.1420 0.4305
B4 0.8580 0.3459 0.0695
Cl1 0.0512 0.2714 0.0173
Cl2 0.0845 0.6315 0.7101
Cl3 0.1675 0.7851 0.4516
Cl4 0.2149 0.8325 0.0484
Cl5 0.2714 0.0512 0.5173
Cl6 0.3028 0.4666 0.9832
Cl7 0.3685 0.9155 0.7899
Cl8 0.4666 0.3028 0.4832
Cl9 0.5334 0.6972 0.5168
Cl10 0.6315 0.0845 0.2101
Cl11 0.6972 0.5334 0.0168
Cl12 0.7286 0.9488 0.4827
Cl13 0.7851 0.1675 0.9516
Cl14 0.8325 0.2149 0.5484
Cl15 0.9155 0.3685 0.2899
Cl16 0.9488 0.7286 0.9827

Peak list (12 most intense, 2θ from 10° to 80°, sorted by position)
2θ 11.0, intensity 100; 2θ 11.8, intensity 66; 2θ 17.4, intensity 40; 2θ 17.8, intensity 29; 2θ 21.5, intensity 23; 2θ 26.2, intensity 18; 2θ 29.1, intensity 67; 2θ 31.2, intensity 23; 2θ 31.3, intensity 25; 2θ 36.0, intensity 22; 2θ 38.1, intensity 26; 2θ 38.7, intensity 32



For TbBCl, a structure optimized by DFT (GGA-PBE) gives the calculated X-ray powder pattern in this record (Cu Kα (λ = 1.5418 Å)).

Atomic structure:
Cell: 6.0581 3.4976 11.2841 Å, 90.00 91.24 90.00°
Positions (direct):
Tb1 0.0066 0.0000 0.1625
Tb2 0.4934 0.5000 0.8375
Tb3 0.5066 0.5000 0.1625
Tb4 0.9934 0.0000 0.8375
B1 0.1665 0.5000 0.9948
B2 0.3335 0.0000 0.0052
B3 0.6665 0.0000 0.9948
B4 0.8335 0.5000 0.0052
Cl1 0.1798 0.5000 0.3257
Cl2 0.3202 0.0000 0.6743
Cl3 0.6798 0.0000 0.3257
Cl4 0.8202 0.5000 0.6743

Peak list (12 most intense, 2θ from 10° to 80°, sorted by position)
2θ 15.7, intensity 58; 2θ 23.7, intensity 38; 2θ 29.5, intensity 100; 2θ 30.4, intensity 39; 2θ 30.7, intensity 44; 2θ 33.7, intensity 26; 2θ 37.7, intensity 33; 2θ 37.9, intensity 54; 2θ 38.4, intensity 60; 2θ 38.6, intensity 29; 2θ 43.6, intensity 20; 2θ 52.3, intensity 43



For Th3BCl3, a structure optimized by DFT (GGA-PBE) gives the calculated X-ray powder pattern in this record (Cu Kα (λ = 1.5418 Å)).

Atomic structure:
Cell: 8.3473 3.8574 11.2267 Å, 90.00 95.53 90.00°
Positions (direct):
Th1 0.0947 0.2500 0.1383
Th2 0.1066 0.2500 0.6175
Th3 0.3333 0.7500 0.3876
Th4 0.6667 0.2500 0.6124
Th5 0.8934 0.7500 0.3825
Th6 0.9053 0.7500 0.8617
B1 0.1160 0.2500 0.3772
B2 0.8840 0.7500 0.6228
Cl1 0.1724 0.2500 0.8824
Cl2 0.3543 0.7500 0.1353
Cl3 0.3886 0.7500 0.6534
Cl4 0.6114 0.2500 0.3466
Cl5 0.6457 0.2500 0.8647
Cl6 0.8276 0.7500 0.1176

Peak list (12 most intense, 2θ from 10° to 80°, sorted by position)
2θ 10.6, intensity 55; 2θ 12.6, intensity 31; 2θ 25.5, intensity 37; 2θ 28.0, intensity 36; 2θ 28.1, intensity 76; 2θ 29.6, intensity 19; 2θ 30.7, intensity 24; 2θ 31.7, intensity 100; 2θ 32.0, intensity 51; 2θ 44.1, intensity 32; 2θ 47.2, intensity 53; 2θ 58.1, intensity 19



For Tl2B2Cl7, a structure optimized by DFT (GGA-PBE) gives the calculated X-ray powder pattern in this record (Cu Kα (λ = 1.5418 Å)).

Atomic structure:
Cell: 7.0993 7.0993 13.9111 Å, 90.69 90.69 107.77°
Positions (direct):
Tl1 0.0259 0.7591 0.9970
Tl2 0.2409 0.9741 0.5030
Tl3 0.7591 0.0259 0.4970
Tl4 0.9741 0.2409 0.0030
B1 0.1840 0.4370 0.6929
B2 0.4370 0.1840 0.1929
B3 0.5630 0.8160 0.8071
B4 0.8160 0.5630 0.3071
Cl1 0.0559 0.5682 0.3570
Cl2 0.1701 0.2648 0.7901
Cl3 0.2648 0.1701 0.2901
Cl4 0.2803 0.7197 0.7500
Cl5 0.3625 0.4221 0.6025
Cl6 0.4221 0.3625 0.1025
Cl7 0.4318 0.9441 0.1430
Cl8 0.5682 0.0559 0.8570
Cl9 0.5779 0.6375 0.8975
Cl10 0.6375 0.5779 0.3975
Cl11 0.7197 0.2803 0.2500
Cl12 0.7352 0.8299 0.7099
Cl13 0.8299 0.7352 0.2099
Cl14 0.9441 0.4318 0.6430

Peak list (12 most intense, 2θ from 10° to 80°, sorted by position)
2θ 12.7, intensity 100; 2θ 13.1, intensity 56; 2θ 14.7, intensity 50; 2θ 18.2, intensity 58; 2θ 23.1, intensity 53; 2θ 25.6, intensity 72; 2θ 27.0, intensity 67; 2θ 27.3, intensity 94; 2θ 28.6, intensity 85; 2θ 32.5, intensity 42; 2θ 33.8, intensity 84; 2θ 40.8, intensity 40



For ZnB2Cl8, a structure optimized by DFT (GGA-PBE) gives the calculated X-ray powder pattern in this record (Cu Kα (λ = 1.5418 Å)).

Atomic structure:
Cell: 9.4762 9.4762 10.5930 Å, 120.97 120.97 55.05°
Positions (direct):
Zn1 0.0168 0.9832 0.7500
Zn2 0.9832 0.0168 0.2500
B1 0.1422 0.6902 0.4605
B2 0.3098 0.8578 0.0395
B3 0.6902 0.1422 0.9605
B4 0.8578 0.3098 0.5395
Cl1 0.0868 0.2034 0.5122
Cl2 0.1022 0.7157 0.2767
Cl3 0.1747 0.7317 0.8664
Cl4 0.2034 0.0868 0.0122
Cl5 0.2583 0.4537 0.4410
Cl6 0.2683 0.8253 0.6336
Cl7 0.2843 0.8978 0.2233
Cl8 0.4537 0.2583 0.9410
Cl9 0.5463 0.7417 0.0590
Cl10 0.7157 0.1022 0.7767
Cl11 0.7317 0.1747 0.3664
Cl12 0.7417 0.5463 0.5590
Cl13 0.7966 0.9132 0.9878
Cl14 0.8253 0.2683 0.1336
Cl15 0.8978 0.2843 0.7233
Cl16 0.9132 0.7966 0.4878

Peak list (12 most intense, 2θ from 10° to 80°, sorted by position)
2θ 12.0, intensity 100; 2θ 12.9, intensity 64; 2θ 18.1, intensity 15; 2θ 18.8, intensity 22; 2θ 20.3, intensity 19; 2θ 21.0, intensity 15; 2θ 26.4, intensity 13; 2θ 30.0, intensity 55; 2θ 30.2, intensity 28; 2θ 35.9, intensity 13; 2θ 41.3, intensity 13; 2θ 41.9, intensity 13



For ZnB2Cl8, a structure optimized by DFT (GGA-PBE) gives the calculated X-ray powder pattern in this record (Cu Kα (λ = 1.5418 Å)).

Atomic structure:
Cell: 7.3922 7.3922 5.6152 Å, 92.31 92.31 84.23°
Positions (direct):
Zn1 0.0000 0.0000 0.0000
B1 0.2030 0.2030 0.6506
B2 0.7970 0.7970 0.3494
Cl1 0.0372 0.7326 0.2347
Cl2 0.1966 0.1966 0.3203
Cl3 0.2674 0.9628 0.7653
Cl4 0.3591 0.3591 0.7639
Cl5 0.6409 0.6409 0.2361
Cl6 0.7326 0.0372 0.2347
Cl7 0.8034 0.8034 0.6797
Cl8 0.9628 0.2674 0.7653

Peak list (12 most intense, 2θ from 10° to 80°, sorted by position)
2θ 12.0, intensity 100; 2θ 17.9, intensity 53; 2θ 20.3, intensity 33; 2θ 23.3, intensity 16; 2θ 28.6, intensity 59; 2θ 31.3, intensity 39; 2θ 31.9, intensity 12; 2θ 32.3, intensity 11; 2θ 42.8, intensity 26; 2θ 43.5, intensity 17; 2θ 49.9, intensity 21; 2θ 55.6, intensity 11



For Co5B16, a structure optimized by DFT (GGA-PBE) gives the calculated X-ray powder pattern in this record (Cu Kα (λ = 1.5418 Å)).

Atomic structure:
Cell: 19.0578 2.9271 5.4583 Å, 90.00 90.00 90.00°
Positions (direct):
Co1 0.0000 0.0000 0.0000
Co2 0.1535 0.0000 0.4255
Co3 0.1835 0.5000 0.0456
Co4 0.3165 0.5000 0.0456
Co5 0.3465 0.0000 0.4255
Co6 0.5000 0.0000 0.0000
Co7 0.6535 0.0000 0.5745
Co8 0.6835 0.5000 0.9544
Co9 0.8165 0.5000 0.9544
Co10 0.8465 0.0000 0.5745
B1 0.0091 0.5000 0.7076
B2 0.0683 0.0000 0.6936
B3 0.0709 0.5000 0.4927
B4 0.0769 0.5000 0.1774
B5 0.1050 0.0000 0.0149
B6 0.1616 0.0000 0.7862
B7 0.2028 0.5000 0.6654
B8 0.2500 0.0000 0.2137
B9 0.2500 0.5000 0.3874
B10 0.2972 0.5000 0.6654
B11 0.3384 0.0000 0.7862
B12 0.3950 0.0000 0.0149
B13 0.4231 0.5000 0.1774
B14 0.4291 0.5000 0.4927
B15 0.4317 0.0000 0.6936
B16 0.4909 0.5000 0.7076
B17 0.5091 0.5000 0.2924
B18 0.5683 0.0000 0.3064
B19 0.5709 0.5000 0.5073
B20 0.5769 0.5000 0.8226
B21 0.6050 0.0000 0.9851
B22 0.6616 0.0000 0.2138
B23 0.7028 0.5000 0.3346
B24 0.7500 0.0000 0.7863
B25 0.7500 0.5000 0.6126
B26 0.7972 0.5000 0.3346
B27 0.8384 0.0000 0.2138
B28 0.8950 0.0000 0.9851
B29 0.9231 0.5000 0.8226
B30 0.9291 0.5000 0.5073
B31 0.9317 0.0000 0.3064
B32 0.9909 0.5000 0.2924

Peak list (12 most intense, 2θ from 10° to 80°, sorted by position)
2θ 16.9, intensity 41; 2θ 24.8, intensity 45; 2θ 28.1, intensity 82; 2θ 32.8, intensity 43; 2θ 36.1, intensity 100; 2θ 39.7, intensity 57; 2θ 43.7, intensity 30; 2θ 45.3, intensity 32; 2θ 45.7, intensity 35; 2θ 49.3, intensity 27; 2θ 50.7, intensity 32; 2θ 52.3, intensity 29



For CsCoB2H8, a structure optimized by DFT (GGA-PBE) gives the calculated X-ray powder pattern in this record (Cu Kα (λ = 1.5418 Å)).

Atomic structure:
Cell: 7.7210 7.7210 7.7210 Å, 34.04 34.04 34.04°
Positions (direct):
Cs1 0.0000 0.0000 0.0000
Co1 0.5000 0.5000 0.5000
B1 0.2289 0.2289 0.2289
B2 0.7711 0.7711 0.7711
H1 0.0792 0.7203 0.5645
H2 0.2797 0.4355 0.9208
H3 0.2851 0.2851 0.2851
H4 0.4355 0.9208 0.2797
H5 0.5645 0.0792 0.7203
H6 0.7149 0.7149 0.7149
H7 0.7203 0.5645 0.0792
H8 0.9208 0.2797 0.4355

Peak list (12 most intense, 2θ from 10° to 80°, sorted by position)
2θ 12.2, intensity 14; 2θ 23.1, intensity 16; 2θ 24.2, intensity 92; 2θ 24.5, intensity 33; 2θ 28.1, intensity 100; 2θ 39.9, intensity 36; 2θ 40.3, intensity 32; 2θ 47.2, intensity 16; 2θ 47.4, intensity 34; 2θ 47.8, intensity 18; 2θ 49.5, intensity 18; 2θ 65.4, intensity 16



For Dy3CoB7, a structure optimized by DFT (GGA-PBE) gives the calculated X-ray powder pattern in this record (Cu Kα (λ = 1.5418 Å)).

Atomic structure:
Cell: 8.0476 8.0476 9.3307 Å, 90.00 90.00 155.57°
Positions (direct):
Dy1 0.1052 0.8948 0.5612
Dy2 0.1052 0.8948 0.9388
Dy3 0.2438 0.7562 0.2500
Dy4 0.7562 0.2438 0.7500
Dy5 0.8948 0.1052 0.0612
Dy6 0.8948 0.1052 0.4388
Co1 0.0544 0.9456 0.2500
Co2 0.9456 0.0544 0.7500
B1 0.2723 0.7277 0.5326
B2 0.2723 0.7277 0.9674
B3 0.3696 0.6304 0.6529
B4 0.3696 0.6304 0.8471
B5 0.4611 0.5389 0.2500
B6 0.4780 0.5220 0.5978
B7 0.4780 0.5220 0.9022
B8 0.5220 0.4780 0.0978
B9 0.5220 0.4780 0.4022
B10 0.5389 0.4611 0.7500
B11 0.6304 0.3696 0.1529
B12 0.6304 0.3696 0.3471
B13 0.7277 0.2723 0.0326
B14 0.7277 0.2723 0.4674

Peak list (12 most intense, 2θ from 10° to 80°, sorted by position)
2θ 22.2, intensity 35; 2θ 26.8, intensity 76; 2θ 29.7, intensity 96; 2θ 30.9, intensity 71; 2θ 32.8, intensity 57; 2θ 34.2, intensity 42; 2θ 39.0, intensity 36; 2θ 39.7, intensity 100; 2θ 40.2, intensity 42; 2θ 43.7, intensity 37; 2θ 57.4, intensity 38; 2θ 59.1, intensity 30



For Dy2CoB10, a structure optimized by DFT (GGA-PBE) gives the calculated X-ray powder pattern in this record (Cu Kα (λ = 1.5418 Å)).

Atomic structure:
Cell: 5.5432 11.0762 4.1416 Å, 90.00 90.00 90.00°
Positions (direct):
Dy1 0.1988 0.1337 0.0000
Dy2 0.3012 0.6337 0.0000
Dy3 0.6988 0.3663 0.0000
Dy4 0.8012 0.8663 0.0000
Co1 0.0000 0.5000 0.5000
Co2 0.5000 0.0000 0.5000
B1 0.0294 0.3140 0.5000
B2 0.1278 0.9600 0.5000
B3 0.1583 0.8020 0.5000
B4 0.2005 0.3866 0.1998
B5 0.2005 0.3866 0.8002
B6 0.2995 0.8866 0.1998
B7 0.2995 0.8866 0.8002
B8 0.3417 0.3020 0.5000
B9 0.3722 0.4600 0.5000
B10 0.4706 0.8140 0.5000
B11 0.5294 0.1860 0.5000
B12 0.6278 0.5400 0.5000
B13 0.6583 0.6980 0.5000
B14 0.7005 0.1134 0.1998
B15 0.7005 0.1134 0.8002
B16 0.7995 0.6134 0.1998
B17 0.7995 0.6134 0.8002
B18 0.8417 0.1980 0.5000
B19 0.8722 0.0400 0.5000
B20 0.9706 0.6860 0.5000

Peak list (12 most intense, 2θ from 10° to 80°, sorted by position)
2θ 21.5, intensity 30; 2θ 22.7, intensity 72; 2θ 28.1, intensity 20; 2θ 31.4, intensity 100; 2θ 32.3, intensity 29; 2θ 39.1, intensity 78; 2θ 43.7, intensity 17; 2θ 46.4, intensity 20; 2θ 49.8, intensity 28; 2θ 52.2, intensity 14; 2θ 57.1, intensity 18; 2θ 70.4, intensity 15



For DyCo12B4, a structure optimized by DFT (GGA-PBE) gives the calculated X-ray powder pattern in this record (Cu Kα (λ = 1.5418 Å)).

Atomic structure:
Cell: 6.2514 6.2514 6.2514 Å, 109.47 109.47 109.47°
Positions (direct):
Dy1 0.0000 0.0000 0.0000
Co1 0.1658 0.3424 0.8235
Co2 0.1765 0.5189 0.3424
Co3 0.1765 0.8342 0.6576
Co4 0.3424 0.1765 0.5189
Co5 0.3424 0.8235 0.1658
Co6 0.4811 0.6576 0.8235
Co7 0.5189 0.3424 0.1765
Co8 0.6576 0.1765 0.8342
Co9 0.6576 0.8235 0.4811
Co10 0.8235 0.1658 0.3424
Co11 0.8235 0.4811 0.6576
Co12 0.8342 0.6576 0.1765
B1 0.0000 0.0000 0.5000
B2 0.0000 0.5000 0.0000
B3 0.5000 0.0000 0.0000
B4 0.5000 0.5000 0.5000

Peak list (12 most intense, 2θ from 10° to 80°, sorted by position)
2θ 17.4, intensity 9; 2θ 24.7, intensity 6; 2θ 30.3, intensity 18; 2θ 39.5, intensity 100; 2θ 43.4, intensity 11; 2θ 47.1, intensity 58; 2θ 50.6, intensity 2; 2θ 57.1, intensity 2; 2θ 63.1, intensity 15; 2θ 66.0, intensity 26; 2θ 77.0, intensity 12; 2θ 79.7, intensity 14